Tb4NdSm2Tm2: computed powder XRD pattern (Cu Kα (λ = 1.5418 Å)), based on DFT lattice parameters and positions (PBE).

Top 8 peaks for 2θ = 10–90°, by angle:
(6 0 -1), 28.83°, I 37.2; (0 0 3), 31.07°, I 49.5; (3 1 -2), 31.84°, I 100.0; (3 1 1), 33.50°, I 58.1; (6 0 -3), 33.61°, I 28.3; (9 1 -2), 50.75°, I 25.2; (3 1 -5), 54.66°, I 22.0; (9 1 1), 60.71°, I 29.5

Cell: 18.6764 3.6090 9.5752 Å, 90.00 115.61 90.00°
Space group C2/m (No. 12)
Inequivalent atoms, fractional coordinates:
Tb 0.0190 0.0000 0.3334 (multiplicity 4)
Tb 0.1853 0.5000 0.3331 (multiplicity 4)
Nd 0.0000 0.5000 0.0000 (multiplicity 2)
Sm 0.1481 0.5000 0.6680 (multiplicity 4)
Tm 0.1681 0.0000 0.0019 (multiplicity 4)

---

TbNd4Sm2Tm2: computed powder XRD pattern (Cu Kα (λ = 1.5418 Å)), based on DFT lattice parameters and positions (PBE).

Top 8 peaks for 2θ = 10–90°, by angle:
(3 1 1), 30.30°, I 100.0; (0 2 0), 35.06°, I 34.0; (0 0 3), 35.25°, I 16.7; (6 2 -1), 50.42°, I 12.2; (6 0 2), 50.57°, I 24.1; (9 1 0), 59.96°, I 28.9; (3 1 4), 60.22°, I 14.2; (6 2 2), 63.02°, I 12.4

Cell: 15.3635 5.1168 8.0564 Å, 90.00 108.54 90.00°
Space group C2/m (No. 12)
Inequivalent atoms, fractional coordinates:
Tb 0.0000 0.0000 0.0000 (multiplicity 2)
Nd 0.0546 0.5000 0.3301 (multiplicity 4)
Nd 0.2221 0.0000 0.3299 (multiplicity 4)
Sm 0.1116 0.0000 0.6696 (multiplicity 4)
Tm 0.1674 0.5000 0.9996 (multiplicity 4)

---

Tb2NdSm5Y: computed powder XRD pattern (Cu Kα (λ = 1.5418 Å)), based on DFT lattice parameters and positions (PBE).

Top 8 peaks for 2θ = 10–90°, by angle:
(0 6 1), 27.59°, I 17.4; (1 1 3), 29.93°, I 39.3; (2 0 0), 31.56°, I 38.5; (1 5 2), 31.82°, I 100.0; (0 0 4), 33.52°, I 12.6; (3 5 2), 56.36°, I 19.8; (1 11 3), 58.51°, I 13.4; (2 6 5), 60.73°, I 12.8

Cell: 5.6705 20.3530 10.6939 Å, 90.00 90.00 90.00°
Space group Cmc2_1 (No. 36)
Inequivalent atoms, fractional coordinates:
Tb 0.0000 0.1109 0.0000 (multiplicity 4)
Tb 0.0000 0.1156 0.5832 (multiplicity 4)
Nd 0.0000 0.2017 0.2749 (multiplicity 4)
Sm 0.0000 0.0162 0.2876 (multiplicity 4)
Sm 0.0000 0.2802 0.5727 (multiplicity 4)
Sm 0.0000 0.2985 0.9702 (multiplicity 4)
Sm 0.0000 0.3924 0.2899 (multiplicity 4)
Sm 0.0000 0.4789 0.0056 (multiplicity 4)
Y 0.0000 0.4109 0.7205 (multiplicity 4)